Entry 1:
This entry pairs a crystal structure of Ba3SmBi2O6 with its calculated X-ray diffraction stick pattern. Radiation: λ = 1.5418 Å (Cu Kα). Structure: a structure optimized by DFT (PBE).

Cell and atoms:
Cell lengths 6.220, 6.220, 7.282 Å; angles 90.00, 90.00, 120.00 degrees
Sites, in units of the cell vectors:
Ba1 0.000 0.000 0.000
Ba2 0.333 0.667 0.624
Ba3 0.667 0.333 0.376
Sm1 0.000 0.000 0.500
Bi1 0.333 0.667 0.121
Bi2 0.667 0.333 0.879
O1 0.174 0.348 0.317
O2 0.174 0.826 0.317
O3 0.348 0.174 0.683
O4 0.652 0.826 0.317
O5 0.826 0.174 0.683
O6 0.826 0.652 0.683

Peak list (10 most intense, 2θ = 5–70°, by angle)
| 2θ (°) | I_rel |
| --- | --- |
| 28.70 | 100 |
| 29.62 | 83 |
| 38.05 | 12 |
| 41.71 | 44 |
| 50.85 | 21 |
| 51.42 | 37 |
| 53.11 | 16 |
| 59.44 | 16 |
| 67.80 | 16 |
| 69.23 | 15 |

=====

Entry 2:
This entry pairs a crystal structure of TbAl4Tc with its calculated X-ray diffraction stick pattern. Radiation: λ = 1.5418 Å (Cu Kα). Structure: a structure optimized by DFT (PBE).

Cell and atoms:
Cell lengths 7.833, 4.130, 6.929 Å; angles 90.00, 90.00, 90.00 degrees
Sites, in units of the cell vectors:
Tb1 0.250 0.000 0.132
Tb2 0.750 0.000 0.868
Al1 0.000 0.000 0.500
Al2 0.065 0.500 0.812
Al3 0.250 0.500 0.463
Al4 0.435 0.500 0.812
Al5 0.500 0.000 0.500
Al6 0.565 0.500 0.188
Al7 0.750 0.500 0.537
Al8 0.935 0.500 0.188
Tc1 0.250 0.000 0.703
Tc2 0.750 0.000 0.297

Peak list (10 most intense, 2θ = 5–70°, by angle)
| 2θ (°) | I_rel |
| --- | --- |
| 21.52 | 65 |
| 22.71 | 68 |
| 28.16 | 56 |
| 31.48 | 71 |
| 34.10 | 41 |
| 35.72 | 100 |
| 41.08 | 35 |
| 43.40 | 28 |
| 43.85 | 32 |
| 52.93 | 27 |